Entry 1:
Theoretical PXRD pattern
Compound: Pr3CoSi3
Radiation: Cu Ka
Structure: the GGA-PBE geometry in Alexandria

Top 8 peaks for 10 to 80 degrees two-theta, by angle:
2theta	I/Imax
22.5	74.3
26.6	65.2
31.9	93.3
32.1	51.7
32.8	91.3
33.2	100.0
39.7	47.1
42.2	62.1

Atomic structure:
```
data_Pr3CoSi3
_chemical_formula_sum 'Pr6 Co2 Si6'
_cell_length_a 5.9911
_cell_length_b 5.9911
_cell_length_c 13.9024
_cell_angle_alpha 109.99
_cell_angle_beta 109.99
_cell_angle_gamma 41.88
_symmetry_space_group_name_H-M 'P 1'
_symmetry_Int_Tables_number 1
_symmetry_space_group_name_Hall 'P 1'
loop_
_atom_site_label
_atom_site_type_symbol
_atom_site_fract_x
_atom_site_fract_y
_atom_site_fract_z
Pr1 Pr 0.0224 0.0224 0.3824
Pr2 Pr 0.1015 0.1015 0.9185
Pr3 Pr 0.2493 0.2493 0.2278
Pr4 Pr 0.7507 0.7507 0.7722
Pr5 Pr 0.8985 0.8985 0.0815
Pr6 Pr 0.9776 0.9776 0.6176
Co1 Co 0.2585 0.2585 0.5817
Co2 Co 0.7415 0.7415 0.4183
Si1 Si 0.3407 0.3407 0.4529
Si2 Si 0.3949 0.3949 0.9240
Si3 Si 0.4378 0.4378 0.7549
Si4 Si 0.5622 0.5622 0.2451
Si5 Si 0.6051 0.6051 0.0760
Si6 Si 0.6593 0.6593 0.5471
```

Entry 2:
Theoretical PXRD pattern
Compound: LiIr2
Radiation: Cu Ka
Structure: the GGA-PBE geometry in Alexandria

Top 8 peaks for 10 to 80 degrees two-theta, by angle:
2theta	I/Imax
14.0	61.3
18.8	55.4
20.0	100.0
38.6	80.9
40.7	68.8
42.9	57.4
43.4	96.3
44.2	87.6

Atomic structure:
```
data_LiIr2
_chemical_formula_sum 'Li2 Ir4'
_cell_length_a 5.1122
_cell_length_b 5.1122
_cell_length_c 6.5937
_cell_angle_alpha 105.80
_cell_angle_beta 105.80
_cell_angle_gamma 30.55
_symmetry_space_group_name_H-M 'P 1'
_symmetry_Int_Tables_number 1
_symmetry_space_group_name_Hall 'P 1'
loop_
_atom_site_label
_atom_site_type_symbol
_atom_site_fract_x
_atom_site_fract_y
_atom_site_fract_z
Li1 Li 0.0000 0.0000 0.0000
Li2 Li 0.6484 0.6484 0.3497
Ir1 Ir 0.2805 0.2805 0.0607
Ir2 Ir 0.3299 0.3299 0.6841
Ir3 Ir 0.6073 0.6073 0.7235
Ir4 Ir 0.9159 0.9159 0.3965
```

Entry 3:
Theoretical PXRD pattern
Compound: TcP2Se
Radiation: Cu Ka
Structure: the GGA-PBE geometry in Alexandria

Top 8 peaks for 10 to 80 degrees two-theta, by angle:
2theta	I/Imax
13.0	100.0
25.4	20.6
33.1	15.2
33.7	50.3
39.5	18.3
41.5	23.1
46.5	19.5
48.0	9.9

Atomic structure:
```
data_TcP2Se
_chemical_formula_sum 'Tc1 P2 Se1'
_cell_length_a 4.1386
_cell_length_b 4.1386
_cell_length_c 6.8836
_cell_angle_alpha 96.43
_cell_angle_beta 96.43
_cell_angle_gamma 45.34
_symmetry_space_group_name_H-M 'P 1'
_symmetry_Int_Tables_number 1
_symmetry_space_group_name_Hall 'P 1'
loop_
_atom_site_label
_atom_site_type_symbol
_atom_site_fract_x
_atom_site_fract_y
_atom_site_fract_z
Tc1 Tc 0.0000 0.0000 0.0000
P1 P 0.2798 0.2798 0.8972
P2 P 0.4706 0.4706 0.7083
Se1 Se 0.7297 0.7297 0.2344
```

Entry 4:
Theoretical PXRD pattern
Compound: CdI2Cl8
Radiation: Cu Ka
Structure: the GGA-PBE geometry in Alexandria

Top 8 peaks for 10 to 80 degrees two-theta, by angle:
2theta	I/Imax
11.7	29.0
13.3	100.0
23.5	48.6
25.0	28.6
29.1	28.9
31.9	18.1
33.6	17.8
48.1	24.7

Atomic structure:
```
data_CdI2Cl8
_chemical_formula_sum 'Cd2 I4 Cl16'
_cell_length_a 9.4408
_cell_length_b 9.4408
_cell_length_c 13.9024
_cell_angle_alpha 120.94
_cell_angle_beta 120.94
_cell_angle_gamma 58.39
_symmetry_space_group_name_H-M 'P 1'
_symmetry_Int_Tables_number 1
_symmetry_space_group_name_Hall 'P 1'
loop_
_atom_site_label
_atom_site_type_symbol
_atom_site_fract_x
_atom_site_fract_y
_atom_site_fract_z
Cd1 Cd 0.2480 0.7520 0.7500
Cd2 Cd 0.7520 0.2480 0.2500
I1 I 0.2436 0.2570 0.4940
I2 I 0.2570 0.2436 0.9940
I3 I 0.7430 0.7564 0.0060
I4 I 0.7564 0.7430 0.5060
Cl1 Cl 0.0474 0.7891 0.5494
Cl2 Cl 0.0697 0.2311 0.7913
Cl3 Cl 0.2109 0.9526 0.9506
Cl4 Cl 0.2311 0.0697 0.2913
Cl5 Cl 0.2429 0.4643 0.7176
Cl6 Cl 0.3011 0.5025 0.0381
Cl7 Cl 0.4643 0.2429 0.2176
Cl8 Cl 0.4975 0.6989 0.4619
Cl9 Cl 0.5025 0.3011 0.5381
Cl10 Cl 0.5357 0.7571 0.7824
Cl11 Cl 0.6989 0.4975 0.9619
Cl12 Cl 0.7571 0.5357 0.2824
Cl13 Cl 0.7689 0.9303 0.7087
Cl14 Cl 0.7891 0.0474 0.0494
Cl15 Cl 0.9303 0.7689 0.2087
Cl16 Cl 0.9526 0.2109 0.4506
```

Entry 5:
Theoretical PXRD pattern
Compound: NpTlH2O6
Radiation: Cu Ka
Structure: the GGA-PBE geometry in Alexandria

Top 8 peaks for 10 to 80 degrees two-theta, by angle:
2theta	I/Imax
21.6	58.2
22.9	100.0
28.6	29.4
29.9	25.3
31.5	19.9
31.9	21.1
34.4	13.0
50.5	13.6

Atomic structure:
```
data_NpTlH2O6
_chemical_formula_sum 'Np1 Tl1 H2 O6'
_cell_length_a 5.1703
_cell_length_b 5.2448
_cell_length_c 5.7791
_cell_angle_alpha 65.97
_cell_angle_beta 69.84
_cell_angle_gamma 66.26
_symmetry_space_group_name_H-M 'P 1'
_symmetry_Int_Tables_number 1
_symmetry_space_group_name_Hall 'P 1'
loop_
_atom_site_label
_atom_site_type_symbol
_atom_site_fract_x
_atom_site_fract_y
_atom_site_fract_z
Np1 Np 0.0000 0.0000 0.0000
Tl1 Tl 0.5000 0.5000 0.5000
H1 H 0.4016 0.2171 0.2632
H2 H 0.5984 0.7829 0.7368
O1 O 0.0963 0.3487 0.7772
O2 O 0.2323 0.9383 0.2255
O3 O 0.4201 0.7476 0.7498
O4 O 0.5799 0.2524 0.2502
O5 O 0.7677 0.0617 0.7745
O6 O 0.9037 0.6513 0.2228
```